No. 1
Starting from the PBE geometry in Alexandria, the XRD peak list of Tl10CdHg6 was calculated for λ = 1.5418 Å (Cu Kα).

Atomic structure:
abc: 9.5702 9.5702 6.4047
angles: 90.00 90.00 120.00
Sites, in units of the cell vectors:
1 Tl 0.0000 0.2764 0.2184
2 Tl 0.0000 0.7236 0.7816
3 Tl 0.2764 0.0000 0.2184
4 Tl 0.2764 0.2764 0.7816
5 Tl 0.3333 0.6667 0.0000
6 Tl 0.3333 0.6667 0.5000
7 Tl 0.6667 0.3333 0.0000
8 Tl 0.6667 0.3333 0.5000
9 Tl 0.7236 0.0000 0.7816
10 Tl 0.7236 0.7236 0.2184
11 Cd 0.0000 0.0000 0.5000
12 Hg 0.0000 0.3772 0.7231
13 Hg 0.0000 0.6228 0.2769
14 Hg 0.3772 0.0000 0.7231
15 Hg 0.3772 0.3772 0.2769
16 Hg 0.6228 0.0000 0.2769
17 Hg 0.6228 0.6228 0.7231

Largest 8 diffraction maxima, most intense first, 2θ from 5° to 70°:
- 33.68°, rel. 100.0
- 32.41°, rel. 93.4
- 31.80°, rel. 59.4
- 47.43°, rel. 28.5
- 58.62°, rel. 18.6
- 41.75°, rel. 17.0
- 67.63°, rel. 16.0
- 64.24°, rel. 14.6


No. 2
Starting from the PBE geometry in Alexandria, the XRD peak list of KNa2PuO5 was calculated for λ = 1.5418 Å (Cu Kα).

Atomic structure:
abc: 6.6385 6.6385 6.6385
angles: 141.98 126.07 67.88
Sites, in units of the cell vectors:
1 K 0.0000 0.0000 0.0000
2 Na 0.2764 0.7764 0.5000
3 Na 0.7236 0.2236 0.5000
4 Pu 0.5000 0.5000 0.0000
5 O 0.1480 0.3734 0.7745
6 O 0.4011 0.6266 0.7745
7 O 0.5000 0.0000 0.5000
8 O 0.5989 0.3734 0.2255
9 O 0.8520 0.6266 0.2255

Largest 8 diffraction maxima, most intense first, 2θ from 5° to 70°:
- 16.78°, rel. 100.0
- 30.18°, rel. 91.0
- 16.09°, rel. 65.9
- 22.08°, rel. 48.8
- 25.36°, rel. 36.2
- 41.72°, rel. 34.8
- 44.60°, rel. 25.3
- 33.94°, rel. 21.9


No. 3
Starting from the PBE geometry in Alexandria, the XRD peak list of Nd5Sm5Bi6 was calculated for λ = 1.5418 Å (Cu Kα).

Atomic structure:
abc: 6.5518 9.4747 9.4747
angles: 120.16 90.00 90.00
Sites, in units of the cell vectors:
1 Nd 0.0000 0.0000 0.0000
2 Nd 0.2500 0.5789 0.9115
3 Nd 0.2500 0.9115 0.5789
4 Nd 0.7500 0.5789 0.9115
5 Nd 0.7500 0.9115 0.5789
6 Sm 0.0000 0.2447 0.4916
7 Sm 0.0000 0.4916 0.2447
8 Sm 0.5000 0.2453 0.9981
9 Sm 0.5000 0.4896 0.4896
10 Sm 0.5000 0.9981 0.2453
11 Bi 0.0000 0.2464 0.8585
12 Bi 0.0000 0.6295 0.6295
13 Bi 0.0000 0.8585 0.2464
14 Bi 0.5000 0.2450 0.6307
15 Bi 0.5000 0.6307 0.2450
16 Bi 0.5000 0.8591 0.8591

Largest 8 diffraction maxima, most intense first, 2θ from 5° to 70°:
- 31.95°, rel. 100.0
- 33.26°, rel. 76.8
- 32.77°, rel. 56.4
- 51.17°, rel. 28.4
- 27.22°, rel. 25.2
- 28.81°, rel. 21.7
- 47.39°, rel. 18.9
- 56.15°, rel. 15.1


No. 4
Starting from the PBE geometry in Alexandria, the XRD peak list of Tb6Sm2Dy3 was calculated for λ = 1.5418 Å (Cu Kα).

Atomic structure:
abc: 32.0409 32.0409 32.0409
angles: 6.38 6.38 6.38
Sites, in units of the cell vectors:
1 Tb 0.0903 0.0903 0.0903
2 Tb 0.1817 0.1817 0.1817
3 Tb 0.3634 0.3634 0.3634
4 Tb 0.6366 0.6366 0.6366
5 Tb 0.8183 0.8183 0.8183
6 Tb 0.9097 0.9097 0.9097
7 Sm 0.4543 0.4543 0.4543
8 Sm 0.5457 0.5457 0.5457
9 Dy 0.0000 0.0000 0.0000
10 Dy 0.2731 0.2731 0.2731
11 Dy 0.7269 0.7269 0.7269

Largest 7 diffraction maxima, most intense first, 2θ from 5° to 70°:
- 30.72°, rel. 100.0
- 35.62°, rel. 50.6
- 51.26°, rel. 36.0
- 60.97°, rel. 31.9
- 60.92°, rel. 10.8
- 63.95°, rel. 9.3
- 64.07°, rel. 3.0